# 1
# PmTiBO5
Calculated X-ray diffraction stick pattern, Cu Kα. Input: the PBE geometry in Alexandria.

The 10 most intense peaks (2θ = 5–70°), in order of falling intensity:
- 19.21°, I = 100
- 28.30°, I = 78
- 34.86°, I = 77
- 30.25°, I = 74
- 25.01°, I = 60
- 26.25°, I = 44
- 40.68°, I = 37
- 43.99°, I = 30
- 43.73°, I = 28
- 35.05°, I = 27

Structural model:
a = 5.3445 Å, b = 5.3445 Å, c = 6.8886 Å
α = 102.97°, β = 102.97°, γ = 106.74°
Positions (direct):
Pm: 0.1584 0.8416 0.7500
Pm: 0.8416 0.1584 0.2500
Ti: 0.5000 0.5000 0.0000
Ti: 0.5000 0.5000 0.5000
B: 0.1831 0.8169 0.2500
B: 0.8169 0.1831 0.7500
O: 0.0982 0.2499 0.9056
O: 0.1840 0.6195 0.3758
O: 0.2499 0.0982 0.4056
O: 0.3805 0.8160 0.1242
O: 0.4237 0.5763 0.7500
O: 0.5763 0.4237 0.2500
O: 0.6195 0.1840 0.8758
O: 0.7501 0.9018 0.5944
O: 0.8160 0.3805 0.6242
O: 0.9018 0.7501 0.0944

# 2
# Ag5Au7
Calculated X-ray diffraction stick pattern, Cu Kα. Input: the PBE geometry in Alexandria.

The 10 most intense peaks (2θ = 5–70°), in order of falling intensity:
- 37.33°, I = 100
- 37.67°, I = 97
- 42.90°, I = 34
- 43.74°, I = 32
- 44.07°, I = 31
- 62.94°, I = 22
- 63.84°, I = 21
- 62.72°, I = 11
- 63.67°, I = 10
- 14.51°, I = 3

Structural model:
a = 6.6543 Å, b = 6.6543 Å, c = 9.1876 Å
α = 115.14°, β = 115.14°, γ = 36.24°
Positions (direct):
Ag: 0.0000 0.0000 0.0000
Ag: 0.1669 0.1669 0.5002
Ag: 0.2501 0.2501 0.2494
Ag: 0.7499 0.7499 0.7506
Ag: 0.8331 0.8331 0.4998
Au: 0.0838 0.0838 0.7498
Au: 0.3340 0.3340 0.9990
Au: 0.4155 0.4155 0.7483
Au: 0.5000 0.5000 0.5000
Au: 0.5845 0.5845 0.2517
Au: 0.6660 0.6660 0.0010
Au: 0.9162 0.9162 0.2502

# 3
# Tb3Tl3InS8
Calculated X-ray diffraction stick pattern, Cu Kα. Input: the PBE geometry in Alexandria.

The 10 most intense peaks (2θ = 5–70°), in order of falling intensity:
- 30.44°, I = 100
- 26.94°, I = 56
- 41.87°, I = 38
- 45.26°, I = 34
- 24.23°, I = 26
- 51.99°, I = 22
- 55.52°, I = 18
- 69.42°, I = 15
- 48.96°, I = 15
- 15.09°, I = 14

Structural model:
a = 8.6817 Å, b = 8.6817 Å, c = 8.6817 Å
α = 54.98°, β = 54.98°, γ = 54.98°
Positions (direct):
Tb: 0.0000 0.5000 0.5000
Tb: 0.5000 0.0000 0.5000
Tb: 0.5000 0.5000 0.0000
Tl: 0.0000 0.0000 0.5000
Tl: 0.0000 0.5000 0.0000
Tl: 0.5000 0.0000 0.0000
In: 0.0000 0.0000 0.0000
S: 0.2288 0.2288 0.7423
S: 0.2288 0.7423 0.2288
S: 0.2577 0.7712 0.7712
S: 0.2654 0.2654 0.2654
S: 0.7346 0.7346 0.7346
S: 0.7423 0.2288 0.2288
S: 0.7712 0.2577 0.7712
S: 0.7712 0.7712 0.2577